# 1
# Ho6NiS5
Computed powder X-ray diffraction pattern, Cu Kα (weighted mean of Kα1 and Kα2). Input: a crystal structure in Alexandria, relaxed with PBE.
Intensities are scaled so that the largest is 1000.

Structure:
Cell lengths 6.7675, 6.7675, 6.7507 Å; angles 99.71, 99.71, 119.96 degrees
Fractional coordinates of all 12 atoms:
Ho 0.0790 0.4041 0.2418
Ho 0.2432 0.2432 0.7543
Ho 0.4041 0.0790 0.2418
Ho 0.5959 0.9210 0.7582
Ho 0.7568 0.7568 0.2457
Ho 0.9210 0.5959 0.7582
Ni 0.0000 0.0000 0.0000
S 0.1733 0.8267 0.5000
S 0.3346 0.6654 0.0000
S 0.5000 0.5000 0.5000
S 0.6654 0.3346 0.0000
S 0.8267 0.1733 0.5000

Most intense lines, 2θ from 10° to 80°, sorted by position:
2θ = 28.0°, d 3.190, rel. 365
2θ = 28.0°, d 3.183, rel. 361
2θ = 32.4°, d 2.760, rel. 1000
2θ = 46.5°, d 1.954, rel. 359
2θ = 46.6°, d 1.949, rel. 356
2θ = 55.1°, d 1.666, rel. 145
2θ = 55.2°, d 1.664, rel. 144
2θ = 57.8°, d 1.595, rel. 185
2θ = 68.0°, d 1.379, rel. 74
2θ = 74.9°, d 1.268, rel. 71
2θ = 77.3°, d 1.235, rel. 103
2θ = 77.5°, d 1.232, rel. 102



# 2
# HoNi4Sb2
Computed powder X-ray diffraction pattern, Cu Kα (weighted mean of Kα1 and Kα2). Input: a crystal structure in Alexandria, relaxed with PBE.
Intensities are scaled so that the largest is 1000.

Structure:
Cell lengths 7.4943, 7.4943, 4.0694 Å; angles 90.00, 90.00, 90.00 degrees
Fractional coordinates of all 14 atoms:
Ho 0.0000 0.0000 0.0000
Ho 0.5000 0.5000 0.5000
Ni 0.0954 0.3626 0.5000
Ni 0.1374 0.5954 0.0000
Ni 0.3626 0.0954 0.5000
Ni 0.4046 0.8626 0.0000
Ni 0.5954 0.1374 0.0000
Ni 0.6374 0.9046 0.5000
Ni 0.8626 0.4046 0.0000
Ni 0.9046 0.6374 0.5000
Sb 0.2161 0.7839 0.5000
Sb 0.2839 0.2839 0.0000
Sb 0.7161 0.7161 0.0000
Sb 0.7839 0.2161 0.5000

Most intense lines, 2θ from 10° to 80°, sorted by position:
2θ = 27.6°, d 3.228, rel. 193
2θ = 33.8°, d 2.650, rel. 492
2θ = 34.7°, d 2.587, rel. 1000
2θ = 38.0°, d 2.370, rel. 349
2θ = 40.6°, d 2.220, rel. 384
2θ = 42.5°, d 2.129, rel. 220
2θ = 44.2°, d 2.048, rel. 801
2θ = 44.5°, d 2.035, rel. 413
2θ = 50.2°, d 1.818, rel. 185
2θ = 57.1°, d 1.614, rel. 218
2θ = 66.5°, d 1.406, rel. 217
2θ = 71.7°, d 1.317, rel. 184



# 3
# Ho3Sc7Ni4
Computed powder X-ray diffraction pattern, Cu Kα (weighted mean of Kα1 and Kα2). Input: a crystal structure in Alexandria, relaxed with PBE.
Intensities are scaled so that the largest is 1000.

Structure:
Cell lengths 9.2468, 9.2468, 11.2968 Å; angles 124.30, 124.30, 22.30 degrees
Fractional coordinates of all 14 atoms:
Ho 0.0000 0.0000 0.0000
Ho 0.3158 0.3158 0.3267
Ho 0.6842 0.6842 0.6733
Sc 0.0000 0.0000 0.5000
Sc 0.1628 0.1628 0.3930
Sc 0.3145 0.3145 0.9702
Sc 0.4943 0.4943 0.2690
Sc 0.5057 0.5057 0.7310
Sc 0.6855 0.6855 0.0298
Sc 0.8372 0.8372 0.6070
Ni 0.1301 0.1301 0.8197
Ni 0.3494 0.3494 0.7776
Ni 0.6506 0.6506 0.2224
Ni 0.8699 0.8699 0.1803

Most intense lines, 2θ from 10° to 80°, sorted by position:
2θ = 15.7°, d 5.639, rel. 440
2θ = 19.2°, d 4.632, rel. 403
2θ = 29.0°, d 3.082, rel. 191
2θ = 30.7°, d 2.913, rel. 270
2θ = 30.8°, d 2.899, rel. 386
2θ = 31.7°, d 2.819, rel. 312
2θ = 34.3°, d 2.615, rel. 1000
2θ = 34.6°, d 2.591, rel. 424
2θ = 35.3°, d 2.543, rel. 844
2θ = 36.3°, d 2.475, rel. 448
2θ = 38.9°, d 2.316, rel. 183
2θ = 51.1°, d 1.788, rel. 260